(1)
Calculated powder diffraction line list of TbErCu3 for Cu Kα (λ = 1.5418 Å), from a PBE-relaxed structure.
Neutral-atom scattering factors, no anomalous dispersion.

Principal peaks in the range 10° ≤ 2θ ≤ 90°, low angle first:
25.07 deg, I 33, hkl 0 4 1; 34.22 deg, I 100, hkl 1 3 1; 35.11 deg, I 60, hkl 1 7 0; 37.11 deg, I 16, hkl 1 5 1; 41.32 deg, I 38, hkl 0 10 1; 42.19 deg, I 31, hkl 0 0 2; 50.73 deg, I 19, hkl 2 0 0; 56.02 deg, I 30, hkl 1 7 2; 67.41 deg, I 17, hkl 2 10 1; 68.04 deg, I 15, hkl 2 0 2

Cell: 3.600 25.404 4.284 Å, 90.00 90.00 90.00°
Space group Cmcm (No. 63)
Asymmetric unit:
Tb (0.000, 0.072, 0.250) x4
Er (0.000, 0.205, 0.750) x4
Cu (0.000, 0.327, 0.750) x4
Cu (0.000, 0.381, 0.250) x4
Cu (0.000, 0.477, 0.250) x4

(2)
Calculated powder diffraction line list of TbEr2Cu for Cu Kα (λ = 1.5418 Å), from a PBE-relaxed structure.
Neutral-atom scattering factors, no anomalous dispersion.

Principal peaks in the range 10° ≤ 2θ ≤ 90°, low angle first:
30.75 deg, I 36, hkl 1 0 2; 31.01 deg, I 100, hkl 0 3 1; 31.23 deg, I 50, hkl 2 1 1; 32.14 deg, I 72, hkl 1 1 2; 32.25 deg, I 85, hkl 2 2 0; 35.21 deg, I 44, hkl 2 2 1; 36.03 deg, I 32, hkl 1 2 2; 38.55 deg, I 36, hkl 2 3 0; 57.15 deg, I 34, hkl 0 6 0; 57.44 deg, I 31, hkl 3 3 2

Cell: 6.777 9.677 6.439 Å, 90.00 90.00 90.00°
Space group Pnma (No. 62)
Asymmetric unit:
Tb (0.015, 0.250, 0.131) x4
Er (0.188, 0.059, 0.684) x8
Cu (0.097, 0.750, 0.443) x4

(3)
Calculated powder diffraction line list of ErZrCuTc for Cu Kα (λ = 1.5418 Å), from a PBE-relaxed structure.
Neutral-atom scattering factors, no anomalous dispersion.

Principal peaks in the range 10° ≤ 2θ ≤ 90°, low angle first:
23.03 deg, I 8, hkl 1 1 1; 26.65 deg, I 5, hkl 2 0 0; 38.04 deg, I 100, hkl 2 2 0; 44.94 deg, I 4, hkl 3 1 1; 47.05 deg, I 2, hkl 2 2 2; 54.89 deg, I 17, hkl 4 0 0; 60.30 deg, I 2, hkl 3 3 1; 62.04 deg, I 2, hkl 4 2 0; 68.74 deg, I 34, hkl 4 2 2; 81.36 deg, I 11, hkl 4 4 0

Cell: 6.690 6.690 6.690 Å, 90.00 90.00 90.00°
Space group F-43m (No. 216)
Asymmetric unit:
Er (0.000, 0.000, 0.000) x4
Zr (0.000, 0.000, 0.500) x4
Cu (0.250, 0.250, 0.750) x4
Tc (0.250, 0.250, 0.250) x4

(4)
Calculated powder diffraction line list of Er4CuTe3 for Cu Kα (λ = 1.5418 Å), from a PBE-relaxed structure.
Neutral-atom scattering factors, no anomalous dispersion.

Principal peaks in the range 10° ≤ 2θ ≤ 90°, low angle first:
29.49 deg, I 51, hkl 0 4 0; 29.69 deg, I 100, hkl 2 0 1; 40.94 deg, I 18, hkl 4 0 0; 42.34 deg, I 72, hkl 2 4 1; 43.99 deg, I 18, hkl 0 0 2; 51.25 deg, I 19, hkl 4 4 0; 53.85 deg, I 22, hkl 0 4 2; 61.64 deg, I 15, hkl 4 0 2; 69.49 deg, I 14, hkl 2 8 1; 69.79 deg, I 15, hkl 4 4 2

Cell: 8.819 12.114 4.117 Å, 90.00 90.00 90.00°
Space group Cmmm (No. 65)
Asymmetric unit:
Er (0.000, 0.234, 0.000) x4
Er (0.218, 0.000, 0.500) x4
Cu (0.000, 0.000, 0.000) x2
Te (0.000, 0.500, 0.000) x2
Te (0.250, 0.250, 0.500) x4

(5)
Calculated powder diffraction line list of Er4CuTe2 for Cu Kα (λ = 1.5418 Å), from a PBE-relaxed structure.
Neutral-atom scattering factors, no anomalous dispersion.

Principal peaks in the range 10° ≤ 2θ ≤ 90°, low angle first:
25.02 deg, I 19, hkl 1 3 0; 25.72 deg, I 24, hkl 0 2 1; 28.20 deg, I 24, hkl 1 2 1; 31.89 deg, I 55, hkl 1 4 0; 32.11 deg, I 100, hkl 2 1 1; 32.83 deg, I 31, hkl 1 3 1; 34.68 deg, I 33, hkl 2 2 1; 42.69 deg, I 29, hkl 0 0 2; 51.77 deg, I 20, hkl 1 6 1; 54.26 deg, I 25, hkl 1 4 2

Cell: 7.777 12.035 4.236 Å, 90.00 90.00 90.00°
Space group Pbam (No. 55)
Asymmetric unit:
Er (0.139, 0.204, 0.000) x4
Er (0.202, 0.940, 0.500) x4
Cu (0.000, 0.000, 0.000) x2
Te (0.074, 0.667, 0.500) x4

(6)
Calculated powder diffraction line list of Er7Cu2Te2 for Cu Kα (λ = 1.5418 Å), from a PBE-relaxed structure.
Neutral-atom scattering factors, no anomalous dispersion.

Principal peaks in the range 10° ≤ 2θ ≤ 90°, low angle first:
27.39 deg, I 28, hkl 0 1 3; 29.48 deg, I 100, hkl 1 1 2; 31.83 deg, I 51, hkl 0 5 1; 32.48 deg, I 28, hkl 0 3 3; 34.29 deg, I 73, hkl 1 3 2; 34.62 deg, I 98, hkl 1 4 1; 35.23 deg, I 23, hkl 1 0 3; 40.98 deg, I 22, hkl 0 5 3; 46.07 deg, I 35, hkl 2 0 0; 63.38 deg, I 20, hkl 2 5 3

Cell: 3.940 14.647 10.019 Å, 90.00 90.00 90.00°
Space group Imm2 (No. 44)
Asymmetric unit:
Er (0.000, 0.000, 0.000) x2
Er (0.000, 0.113, 0.606) x4
Er (0.000, 0.318, 0.367) x4
Er (0.000, 0.382, 0.777) x4
Cu (0.000, 0.000, 0.376) x2
Cu (0.000, 0.500, 0.255) x2
Te (0.000, 0.222, 0.090) x4

(7)
Calculated powder diffraction line list of Er4CuTe for Cu Kα (λ = 1.5418 Å), from a PBE-relaxed structure.
Neutral-atom scattering factors, no anomalous dispersion.

Principal peaks in the range 10° ≤ 2θ ≤ 90°, low angle first:
31.55 deg, I 100, hkl 1 1 4; 31.75 deg, I 14, hkl 2 0 5; 31.97 deg, I 19, hkl 2 1 1; 32.79 deg, I 49, hkl 0 1 5; 34.35 deg, I 14, hkl 1 0 7; 34.63 deg, I 40, hkl 2 1 3; 35.41 deg, I 19, hkl 2 0 6; 37.35 deg, I 11, hkl 0 0 8; 37.60 deg, I 18, hkl 3 0 4; 46.83 deg, I 22, hkl 0 2 0

Cell: 8.269 3.880 19.260 Å, 90.00 90.00 90.00°
Space group Pnma (No. 62)
Asymmetric unit:
Er (0.017, 0.250, 0.217) x4
Er (0.022, 0.250, 0.930) x4
Er (0.123, 0.250, 0.445) x4
Er (0.162, 0.250, 0.648) x4
Cu (0.241, 0.250, 0.050) x4
Te (0.217, 0.750, 0.313) x4

(8)
Calculated powder diffraction line list of Er3ThCu2 for Cu Kα (λ = 1.5418 Å), from a PBE-relaxed structure.
Neutral-atom scattering factors, no anomalous dispersion.

Principal peaks in the range 10° ≤ 2θ ≤ 90°, low angle first:
26.74 deg, I 19, hkl 1 0 1; 29.78 deg, I 30, hkl 1 0 2; 29.96 deg, I 15, hkl 0 0 4; 34.29 deg, I 100, hkl 1 0 3; 36.61 deg, I 60, hkl 1 1 0; 48.00 deg, I 17, hkl 1 1 4; 52.73 deg, I 21, hkl 2 0 0; 60.51 deg, I 13, hkl 1 0 7; 64.42 deg, I 32, hkl 2 1 3; 84.39 deg, I 11, hkl 2 1 7

Cell: 3.472 3.472 11.931 Å, 90.00 90.00 90.00°
Space group P4/mmm (No. 123)
Asymmetric unit:
Er (0.000, 0.000, 0.000) x1
Er (0.000, 0.000, 0.285) x2
Th (0.500, 0.500, 0.500) x1
Cu (0.500, 0.500, 0.143) x2